No. 1
Calculated X-ray powder pattern
Compound: NaNbO3
Radiation: Cu Kα X-rays
Structure: a crystal structure in Alexandria, relaxed with GGA-PBE

Peak list (10 most intense, 10 to 80 degrees two-theta, in order of rising 2θ)
hkl  2θ (°)  intensity
0 0 4  22.41  100.0
2 0 0  31.62  19.2
1 1 4  31.92  76.0
0 2 0  32.11  20.7
2 2 0  45.69  28.8
0 0 8  45.84  15.5
1 1 8  51.59  12.6
3 1 4  56.50  13.6
1 3 4  57.10  26.8
2 2 8  66.72  15.0

Structure:
```
data_NaNbO3
_cell_length_a 5.660
_cell_length_b 5.575
_cell_length_c 15.836
_cell_angle_alpha 90.00
_cell_angle_beta 90.00
_cell_angle_gamma 90.00
_space_group_name_H-M_alt 'P c a 21'
_space_group_IT_number 29
loop_
_space_group_symop_operation_xyz
'x,y,z'
'-x,-y,z+1/2'
'-x+1/2,y,z+1/2'
'x+1/2,-y,z'
loop_
_atom_site_label
_atom_site_type_symbol
_atom_site_fract_x
_atom_site_fract_y
_atom_site_fract_z
Na1 Na 0.208 0.240 0.000
Na2 Na 0.234 0.243 0.749
Nb1 Nb 0.225 0.747 0.875
Nb2 Nb 0.230 0.741 0.124
O1 O 0.027 0.039 0.614
O2 O 0.029 0.040 0.399
O3 O 0.045 0.461 0.148
O4 O 0.048 0.458 0.865
O5 O 0.225 0.682 0.506
O6 O 0.249 0.816 0.756
```

No. 2
Calculated X-ray powder pattern
Compound: Ac2Ag7
Radiation: Cu Kα X-rays
Structure: a crystal structure in Alexandria, relaxed with GGA-PBE

Peak list (10 most intense, 10 to 80 degrees two-theta, in order of rising 2θ)
hkl  2θ (°)  intensity
1 0 10  27.33  30.0
0 1 11  28.99  23.1
1 1 0  30.53  38.8
0 2 1  35.47  31.5
1 1 9  36.06  100.0
0 0 18  37.98  18.4
2 0 8  39.35  13.9
3 0 9  57.93  24.8
2 2 0  63.56  22.8
2 2 18  76.50  13.4

Structure:
```
data_Ac2Ag7
_cell_length_a 5.8553
_cell_length_b 5.8553
_cell_length_c 42.6432
_cell_angle_alpha 90.00
_cell_angle_beta 90.00
_cell_angle_gamma 120.00
_space_group_name_H-M_alt 'R -3 m'
_space_group_IT_number 166
_space_group_name_Hall '-R 3 2"'
loop_
_atom_site_label
_atom_site_type_symbol
_atom_site_fract_x
_atom_site_fract_y
_atom_site_fract_z
Ac1 Ac 0.0000 0.0000 0.0511
Ac2 Ac 0.0000 0.0000 0.1490
Ag1 Ag 0.0000 0.0000 0.2783
Ag2 Ag 0.0000 0.0000 0.3882
Ag3 Ag 0.0000 0.0000 0.5000
Ag4 Ag 0.0000 0.5000 0.0000
Ag5 Ag 0.0015 0.5007 0.8902
```

No. 3
Calculated X-ray powder pattern
Compound: K3Ag2GeBr9
Radiation: Cu Kα X-rays
Structure: a crystal structure in Alexandria, relaxed with GGA-PBE

Peak list (10 most intense, 10 to 80 degrees two-theta, in order of rising 2θ)
hkl  2θ (°)  intensity
1 0 1  16.31  76.7
0 2 1  28.51  35.0
2 0 2  32.96  100.0
1 1 3  36.89  21.7
2 1 1  37.08  20.1
0 2 4  47.15  33.5
2 2 0  47.47  35.0
0 4 2  59.00  17.5
2 2 6  78.51  13.4
4 2 2  78.99  14.7

Structure:
```
data_K3Ag2GeBr9
_cell_length_a 7.6615
_cell_length_b 7.6615
_cell_length_c 9.4728
_cell_angle_alpha 90.00
_cell_angle_beta 90.00
_cell_angle_gamma 120.00
_space_group_name_H-M_alt 'P -3 m 1'
_space_group_IT_number 164
_space_group_name_Hall '-P 3 2"'
loop_
_atom_site_label
_atom_site_type_symbol
_atom_site_fract_x
_atom_site_fract_y
_atom_site_fract_z
K1 K 0.0000 0.0000 0.0000
K2 K 0.3333 0.6667 0.7038
Ag1 Ag 0.3333 0.6667 0.1684
Ge1 Ge 0.0000 0.0000 0.5000
Br1 Br 0.0000 0.5000 0.0000
Br2 Br 0.1618 0.3237 0.3401
```

No. 4
Calculated X-ray powder pattern
Compound: Li8H
Radiation: Cu Kα X-rays
Structure: a crystal structure in Alexandria, relaxed with GGA-PBE

Peak list (10 most intense, 10 to 80 degrees two-theta, in order of rising 2θ)
hkl  2θ (°)  intensity
0 1 1  24.82  5.1
2 0 0  34.64  21.1
0 0 2  36.12  23.4
2 0 1  39.23  100.0
0 1 2  40.23  4.0
2 0 2  50.91  15.9
2 2 0  62.09  18.6
0 2 3  67.03  15.3
2 2 2  73.98  16.8
0 4 1  75.95  13.1

Structure:
```
data_Li8H
_cell_length_a 5.9794
_cell_length_b 5.9794
_cell_length_c 4.9740
_cell_angle_alpha 90.00
_cell_angle_beta 90.00
_cell_angle_gamma 120.00
_space_group_name_H-M_alt 'P -3 m 1'
_space_group_IT_number 164
_space_group_name_Hall '-P 3 2"'
loop_
_atom_site_label
_atom_site_type_symbol
_atom_site_fract_x
_atom_site_fract_y
_atom_site_fract_z
Li1 Li 0.1615 0.3230 0.2696
Li2 Li 0.3333 0.6667 0.7996
H1 H 0.0000 0.0000 0.5000
```

No. 5
Calculated X-ray powder pattern
Compound: UNi3S3
Radiation: Cu Kα X-rays
Structure: a crystal structure in Alexandria, relaxed with GGA-PBE

Peak list (10 most intense, 10 to 80 degrees two-theta, in order of rising 2θ)
hkl  2θ (°)  intensity
1 0 1  16.57  32.5
0 1 2  18.55  25.7
1 1 3  31.28  100.0
2 -1 6  40.46  62.0
0 0 9  44.02  16.5
3 0 0  48.88  42.6
1 1 9  52.80  15.0
4 -2 3  59.19  18.8
2 2 6  65.26  15.6
3 0 9  67.89  18.9

Structure:
```
data_UNi3S3
_cell_length_a 6.4546
_cell_length_b 6.4546
_cell_length_c 18.5007
_cell_angle_alpha 90.00
_cell_angle_beta 90.00
_cell_angle_gamma 120.00
_space_group_name_H-M_alt 'R -3'
_space_group_IT_number 148
_space_group_name_Hall '-R 3'
loop_
_atom_site_label
_atom_site_type_symbol
_atom_site_fract_x
_atom_site_fract_y
_atom_site_fract_z
U1 U 0.0000 0.0000 0.1664
Ni1 Ni 0.9998 0.3294 0.7095
S1 S 0.0005 0.3312 0.9192
```

No. 6
Calculated X-ray powder pattern
Compound: Rb2SiSn
Radiation: Cu Kα X-rays
Structure: a crystal structure in Alexandria, relaxed with GGA-PBE

Peak list (10 most intense, 10 to 80 degrees two-theta, in order of rising 2θ)
hkl  2θ (°)  intensity
2 0 0  13.18  64.5
3 1 0  20.91  24.0
2 1 1  22.56  100.0
4 0 0  26.54  48.1
3 2 1  29.45  33.9
4 2 0  29.74  39.2
3 1 2  40.56  21.9
6 1 1  44.55  19.5
5 1 2  49.13  18.2
5 5 2  60.27  22.2

Structure:
```
data_Rb2SiSn
_cell_length_a 13.433
_cell_length_b 13.433
_cell_length_c 5.221
_cell_angle_alpha 90.00
_cell_angle_beta 90.00
_cell_angle_gamma 90.00
_space_group_name_H-M_alt 'I -4 2 d'
_space_group_IT_number 122
_space_group_name_Hall 'I -4 2bw'
loop_
_atom_site_label
_atom_site_type_symbol
_atom_site_fract_x
_atom_site_fract_y
_atom_site_fract_z
Rb1 Rb 0.051 0.750 0.125
Si1 Si 0.000 0.000 0.000
Sn1 Sn 0.000 0.000 0.500
```

No. 7
Calculated X-ray powder pattern
Compound: CoPd2Se4
Radiation: Cu Kα X-rays
Structure: a crystal structure in Alexandria, relaxed with GGA-PBE

Peak list (10 most intense, 10 to 80 degrees two-theta, in order of rising 2θ)
hkl  2θ (°)  intensity
1 1 2  24.27  30.9
1 2 1  28.18  47.0
1 0 3  28.66  28.8
2 1 1  28.89  23.9
2 2 0  34.59  91.0
2 3 1  45.03  30.5
3 2 1  45.82  22.6
0 4 0  48.53  24.9
2 2 4  49.73  100.0
4 0 0  50.88  26.0

Structure:
```
data_CoPd2Se4
_cell_length_a 7.179
_cell_length_b 7.504
_cell_length_c 10.370
_cell_angle_alpha 90.00
_cell_angle_beta 90.00
_cell_angle_gamma 90.00
_space_group_name_H-M_alt 'I m m a'
_space_group_IT_number 74
_space_group_name_Hall '-I 2b 2'
loop_
_atom_site_label
_atom_site_type_symbol
_atom_site_fract_x
_atom_site_fract_y
_atom_site_fract_z
Co1 Co 0.250 0.250 0.250
Pd1 Pd 0.000 0.000 0.000
Pd2 Pd 0.000 0.250 0.632
Se1 Se 0.000 0.037 0.245
Se2 Se 0.234 0.250 0.020
```

No. 8
Calculated X-ray powder pattern
Compound: Ca2In2Hg5
Radiation: Cu Kα X-rays
Structure: a crystal structure in Alexandria, relaxed with GGA-PBE

Peak list (10 most intense, 10 to 80 degrees two-theta, in order of rising 2θ)
hkl  2θ (°)  intensity
2 2 0  19.93  19.0
0 3 1  22.39  22.7
2 5 1  33.64  100.0
4 0 0  36.53  24.4
0 0 2  37.32  16.7
2 2 2  42.65  14.5
0 10 0  43.02  12.6
6 5 1  63.92  15.8
2 5 3  64.96  16.3
4 10 2  70.73  13.6

Structure:
```
data_Ca2In2Hg5
_cell_length_a 9.840
_cell_length_b 21.026
_cell_length_c 4.820
_cell_angle_alpha 90.00
_cell_angle_beta 90.00
_cell_angle_gamma 90.00
_space_group_name_H-M_alt 'I m m a'
_space_group_IT_number 74
_space_group_name_Hall '-I 2b 2'
loop_
_atom_site_label
_atom_site_type_symbol
_atom_site_fract_x
_atom_site_fract_y
_atom_site_fract_z
Ca1 Ca 0.250 0.142 0.250
In1 In 0.000 0.000 0.000
In2 In 0.250 0.250 0.750
Hg1 Hg 0.000 0.148 0.738
Hg2 Hg 0.000 0.250 0.240
Hg3 Hg 0.250 0.047 0.750
```

No. 9
Calculated X-ray powder pattern
Compound: LaSm4Rh5
Radiation: Cu Kα X-rays
Structure: a crystal structure in Alexandria, relaxed with GGA-PBE

Peak list (10 most intense, 10 to 80 degrees two-theta, in order of rising 2θ)
hkl  2θ (°)  intensity
1 0 0  25.02  3.4
1 1 0  35.67  52.8
1 0 5  36.33  100.0
1 1 5  44.62  1.6
2 0 0  51.34  18.6
0 0 10  53.29  8.2
2 1 5  64.51  36.9
1 1 10  65.79  17.1
2 2 0  75.56  5.8
2 0 10  77.15  10.8

Structure:
```
data_LaSm4Rh5
_cell_length_a 3.559
_cell_length_b 3.559
_cell_length_c 17.189
_cell_angle_alpha 90.00
_cell_angle_beta 90.00
_cell_angle_gamma 90.00
_space_group_name_H-M_alt 'P 4/m m m'
_space_group_IT_number 123
_space_group_name_Hall '-P 4 2'
loop_
_atom_site_label
_atom_site_type_symbol
_atom_site_fract_x
_atom_site_fract_y
_atom_site_fract_z
La1 La 0.000 0.000 0.000
Sm1 Sm 0.000 0.000 0.203
Sm2 Sm 0.000 0.000 0.401
Rh1 Rh 0.500 0.500 0.104
Rh2 Rh 0.500 0.500 0.302
Rh3 Rh 0.500 0.500 0.500
```

No. 10
Calculated X-ray powder pattern
Compound: BaPmScO4
Radiation: Cu Kα X-rays
Structure: a crystal structure in Alexandria, relaxed with GGA-PBE

Peak list (10 most intense, 10 to 80 degrees two-theta, in order of rising 2θ)
hkl  2θ (°)  intensity
1 0 1  22.84  36.7
0 0 4  27.70  16.7
1 0 3  30.20  100.0
1 1 0  30.96  72.2
0 0 6  42.03  47.0
2 0 0  44.35  37.5
1 1 6  53.13  26.2
2 1 3  54.60  38.5
1 0 7  54.70  14.6
3 0 3  72.93  21.1

Structure:
```
data_BaPmScO4
_cell_length_a 4.085
_cell_length_b 4.085
_cell_length_c 12.883
_cell_angle_alpha 90.00
_cell_angle_beta 90.00
_cell_angle_gamma 90.00
_space_group_name_H-M_alt 'I 4 m m'
_space_group_IT_number 107
_space_group_name_Hall 'I 4 -2'
loop_
_atom_site_label
_atom_site_type_symbol
_atom_site_fract_x
_atom_site_fract_y
_atom_site_fract_z
Ba1 Ba 0.000 0.000 0.000
Pm1 Pm 0.000 0.000 0.715
Sc1 Sc 0.000 0.000 0.351
O1 O 0.000 0.000 0.189
O2 O 0.000 0.000 0.534
O3 O 0.000 0.500 0.336
```

No. 11
Calculated X-ray powder pattern
Compound: Dy3Tm4Bi8
Radiation: Cu Kα X-rays
Structure: a crystal structure in Alexandria, relaxed with GGA-PBE

Peak list (10 most intense, 10 to 80 degrees two-theta, in order of rising 2θ)
hkl  2θ (°)  intensity
2 2 0  24.60  5.8
0 4 0  28.48  100.0
4 0 0  40.72  77.9
2 2 2  48.15  3.2
4 4 0  50.44  28.2
0 8 0  58.94  13.3
4 0 2  66.72  24.7
8 4 -4  66.79  12.3
4 8 0  74.06  13.9
4 8 -4  74.16  13.7

Structure:
```
data_Dy3Tm4Bi8
_cell_length_a 12.530
_cell_length_b 12.536
_cell_length_c 8.854
_cell_angle_alpha 90.00
_cell_angle_beta 134.92
_cell_angle_gamma 90.00
_space_group_name_H-M_alt 'C 1 2/m 1'
_space_group_IT_number 12
loop_
_space_group_symop_operation_xyz
'x,y,z'
'-x,-y,-z'
'-x,y,-z'
'x,-y,z'
'x+1/2,y+1/2,z'
'-x+1/2,-y+1/2,-z'
'-x+1/2,y+1/2,-z'
'x+1/2,-y+1/2,z'
loop_
_atom_site_label
_atom_site_type_symbol
_atom_site_fract_x
_atom_site_fract_y
_atom_site_fract_z
Dy1 Dy 0.000 0.000 0.000
Dy2 Dy 0.250 0.250 0.000
Tm1 Tm 0.000 0.500 0.000
Tm2 Tm 0.000 0.500 0.500
Tm3 Tm 0.250 0.250 0.500
Bi1 Bi 0.000 0.246 0.500
Bi2 Bi 0.000 0.251 0.000
Bi3 Bi 0.247 0.000 0.503
Bi4 Bi 0.247 0.000 0.992
```

No. 12
Calculated X-ray powder pattern
Compound: LiPuPd4
Radiation: Cu Kα X-rays
Structure: a crystal structure in Alexandria, relaxed with GGA-PBE

Peak list (10 most intense, 10 to 80 degrees two-theta, in order of rising 2θ)
hkl  2θ (°)  intensity
0 2 0  10.98  18.3
1 1 1  26.87  15.5
1 5 0  35.53  78.8
0 4 2  36.87  17.5
1 1 2  37.15  100.0
2 0 0  44.51  29.3
0 6 2  44.89  40.3
2 6 2  65.07  26.7
1 5 4  72.12  17.1
3 1 2  77.09  14.1

Structure:
```
data_LiPuPd4
_cell_length_a 4.071
_cell_length_b 16.110
_cell_length_c 6.126
_cell_angle_alpha 90.00
_cell_angle_beta 90.00
_cell_angle_gamma 90.00
_space_group_name_H-M_alt 'C m c m'
_space_group_IT_number 63
_space_group_name_Hall '-C 2c 2'
loop_
_atom_site_label
_atom_site_type_symbol
_atom_site_fract_x
_atom_site_fract_y
_atom_site_fract_z
Li1 Li 0.000 0.220 0.250
Pu1 Pu 0.000 0.104 0.750
Pd1 Pd 0.000 0.074 0.250
Pd2 Pd 0.000 0.324 0.530
Pd3 Pd 0.000 0.500 0.000
```